Starting from DFT lattice parameters and positions (GGA-PBE), the powder diffraction line list of Sm2Tc2O7 was computed for Cu Kα.

Structure:
abc: 7.396 7.396 7.396
angles: 60.00 60.00 60.00
Element x y z (fractional)
Sm1 0.000 0.000 0.000
Sm2 0.000 0.000 0.500
Sm3 0.000 0.500 0.000
Sm4 0.500 0.000 0.000
Tc1 0.000 0.500 0.500
Tc2 0.500 0.000 0.500
Tc3 0.500 0.500 0.000
Tc4 0.500 0.500 0.500
O1 0.125 0.125 0.125
O2 0.166 0.166 0.584
O3 0.166 0.584 0.166
O4 0.166 0.584 0.584
O5 0.416 0.416 0.834
O6 0.416 0.834 0.416
O7 0.416 0.834 0.834
O8 0.584 0.166 0.166
O9 0.584 0.166 0.584
O10 0.584 0.584 0.166
O11 0.834 0.416 0.416
O12 0.834 0.416 0.834
O13 0.834 0.834 0.416
O14 0.875 0.875 0.875

Most intense lines, 15 to 90 degrees two-theta, by angle:
2θ (°), Rel. int.
29.6, 100
34.3, 32
37.5, 5
45.0, 2
49.3, 48
58.5, 43
61.4, 10
72.3, 7
80.0, 17
82.5, 14